(1)
Theoretical powder diffraction line list of RbMnZn2I8 for Cu Kα X-rays, from a crystal structure in Alexandria, relaxed with PBE.

Lattice parameters (Å, degrees): 11.967 11.967 11.967 34.80 34.80 34.80
Positions (direct):
1 Rb 0.000 0.000 0.000
2 Mn 0.500 0.500 0.500
3 Zn 0.239 0.239 0.239
4 Zn 0.761 0.761 0.761
5 I 0.144 0.432 0.777
6 I 0.223 0.856 0.568
7 I 0.316 0.316 0.316
8 I 0.432 0.777 0.144
9 I 0.568 0.223 0.856
10 I 0.684 0.684 0.684
11 I 0.777 0.144 0.432
12 I 0.856 0.568 0.223

Principal peaks in the range 2θ = 15–90°, most intense first:
d 3.410, 26.13 deg, rel. 100.0; d 3.018, 29.60 deg, rel. 72.7; d 3.744, 23.77 deg, rel. 41.0; d 2.066, 43.82 deg, rel. 39.8; d 2.209, 40.85 deg, rel. 33.4; d 1.809, 50.45 deg, rel. 28.2


(2)
Theoretical powder diffraction line list of Sc2MnSb for Cu Kα X-rays, from a crystal structure in Alexandria, relaxed with PBE.

Lattice parameters (Å, degrees): 5.547 5.547 5.547 136.11 136.11 63.82
Positions (direct):
1 Sc 0.000 0.000 0.000
2 Sc 0.750 0.250 0.500
3 Mn 0.250 0.750 0.500
4 Sb 0.500 0.500 0.000

Principal peaks in the range 2θ = 15–90°, most intense first:
d 2.489, 36.09 deg, rel. 100.0; d 2.073, 43.66 deg, rel. 28.5; d 3.795, 23.44 deg, rel. 24.8; d 1.556, 59.40 deg, rel. 21.6; d 2.354, 38.23 deg, rel. 21.2; d 1.263, 75.22 deg, rel. 20.7


(3)
Theoretical powder diffraction line list of AcY4Er15 for Cu Kα X-rays, from a crystal structure in Alexandria, relaxed with PBE.

Lattice parameters (Å, degrees): 5.660 5.660 19.959 90.00 90.00 90.00
Positions (direct):
1 Ac 0.000 0.000 0.000
2 Y 0.000 0.000 0.212
3 Y 0.000 0.000 0.401
4 Y 0.000 0.000 0.599
5 Y 0.000 0.000 0.788
6 Er 0.000 0.500 0.113
7 Er 0.000 0.500 0.304
8 Er 0.000 0.500 0.500
9 Er 0.000 0.500 0.696
10 Er 0.000 0.500 0.887
11 Er 0.500 0.000 0.113
12 Er 0.500 0.000 0.304
13 Er 0.500 0.000 0.500
14 Er 0.500 0.000 0.696
15 Er 0.500 0.000 0.887
16 Er 0.500 0.500 0.000
17 Er 0.500 0.500 0.209
18 Er 0.500 0.500 0.400
19 Er 0.500 0.500 0.600
20 Er 0.500 0.500 0.791

Principal peaks in the range 2θ = 15–90°, most intense first:
d 2.828, 31.64 deg, rel. 100.0; d 1.633, 56.35 deg, rel. 36.5; d 2.001, 45.32 deg, rel. 12.9; d 1.266, 75.06 deg, rel. 11.3; d 1.414, 66.08 deg, rel. 10.9; d 1.996, 45.44 deg, rel. 5.1